Theoretical PXRD pattern of Y4Cu3Rh for λ = 1.5418 Å (Cu Kα), from a PBE-relaxed structure.
Kinematic intensities with the Lorentz-polarization factor, no thermal factor.

Structural model:
a = 3.7697 Å, b = 4.4174 Å, c = 10.4746 Å
α = 90.00°, β = 90.00°, γ = 90.00°
Fractional coordinates of all 8 atoms:
Y 0.0000 0.0000 0.0000
Y 0.0000 0.5000 0.2735
Y 0.5000 0.0000 0.4899
Y 0.5000 0.5000 0.7760
Cu 0.0000 0.0000 0.7059
Cu 0.0000 0.5000 0.5649
Cu 0.5000 0.5000 0.0590
Rh 0.5000 0.0000 0.2151

Main lines, most intense first (2θ from 10° to 90°):
| 2theta | d_spacing | I_rel | h k l |
| --- | --- | --- | --- |
| 32.37 | 2.766 | 100 | 1 1 1 |
| 40.72 | 2.216 | 69 | 1 1 3 |
| 40.86 | 2.209 | 33 | 0 2 0 |
| 35.03 | 2.562 | 30 | 1 0 3 |
| 40.03 | 2.253 | 28 | 0 1 4 |
| 34.24 | 2.619 | 22 | 0 0 4 |
| 48.29 | 1.885 | 20 | 2 0 0 |
| 54.89 | 1.673 | 16 | 1 2 3 |